The following is a calculated powder diffractogram of K3Li2Nb5O15. It was derived from DFT lattice parameters and positions (GGA-PBE), using Cu Kα (weighted mean of Kα1 and Kα2).
No peak broadening, texture or thermal motion is included.

Structural model:
```
K3Li2Nb5O15
1.0
12.7436 0.0000 0.0000
0.0000 12.7436 0.0000
0.0000 0.0000 4.1717
K Li Nb O
6 4 10 30
Cartesian
0.0000 0.0000 0.0000 K
2.1909 4.1809 0.0176 K
4.1809 10.5527 0.0176 K
6.3718 6.3718 0.0000 K
8.5627 2.1909 0.0176 K
10.5527 8.5627 0.0176 K
1.5823 7.9541 0.2255 Li
4.7895 1.5823 0.2255 Li
7.9541 11.1613 0.2255 Li
11.1613 4.7895 0.2255 Li
0.0000 6.3718 2.1489 Nb
0.9728 10.0972 2.1682 Nb
2.6464 0.9728 2.1682 Nb
3.7254 7.3446 2.1682 Nb
5.3990 3.7254 2.1682 Nb
6.3718 0.0000 2.1489 Nb
7.3446 9.0182 2.1682 Nb
9.0182 5.3990 2.1682 Nb
10.0972 11.7708 2.1682 Nb
11.7708 2.6464 2.1682 Nb
0.0000 6.3718 4.0212 O
0.0393 8.3375 1.8670 O
0.8700 1.8011 1.9723 O
1.0229 9.9868 4.0247 O
1.8011 11.8737 1.9723 O
1.9657 6.4111 1.8670 O
2.6887 9.0605 1.9094 O
2.7569 1.0229 4.0247 O
3.6150 7.3947 4.0247 O
3.6831 2.6887 1.9094 O
4.4061 0.0393 1.8670 O
4.5707 5.5018 1.9723 O
5.3490 3.6150 4.0247 O
5.5018 8.1729 1.9723 O
6.3325 1.9657 1.8670 O
6.3718 0.0000 4.0212 O
6.4111 10.7779 1.8670 O
7.2418 4.5707 1.9723 O
7.3947 9.1287 4.0247 O
8.1729 7.2418 1.9723 O
8.3375 12.7043 1.8670 O
9.0605 10.0549 1.9094 O
9.1287 5.3490 4.0247 O
9.9868 11.7208 4.0247 O
10.0549 3.6831 1.9094 O
10.7779 6.3325 1.8670 O
10.9425 0.8700 1.9723 O
11.7208 2.7569 4.0247 O
11.8737 10.9425 1.9723 O
12.7043 4.4061 1.8670 O
```

Principal peaks in the range 10 to 90 degrees two-theta, sorted by position:
| d_spacing | I_rel |
| --- | --- |
| 4.172 | 83 |
| 4.030 | 45 |
| 3.534 | 58 |
| 3.366 | 48 |
| 3.091 | 78 |
| 2.898 | 100 |
| 2.086 | 43 |
| 1.802 | 39 |
| 1.729 | 44 |
| 1.654 | 40 |

The following is a calculated powder diffractogram of K3Li2Nb5O15. It was derived from DFT lattice parameters and positions (GGA-PBE), using Cu Kα (weighted mean of Kα1 and Kα2).
No peak broadening, texture or thermal motion is included.

Structural model:
```
K3Li2Nb5O15
1.0
12.8679 0.0000 0.0000
0.0000 12.8679 0.0000
0.0000 0.0000 4.0389
K Li Nb O
6 4 10 30
Cartesian
0.0000 0.0000 0.0000 K
2.2184 4.2155 0.0000 K
4.2155 10.6495 0.0000 K
6.4340 6.4340 0.0000 K
8.6524 2.2184 0.0000 K
10.6495 8.6524 0.0000 K
1.5788 8.0127 0.0000 Li
4.8552 1.5788 0.0000 Li
8.0127 11.2891 0.0000 Li
11.2891 4.8552 0.0000 Li
0.0000 6.4340 2.0194 Nb
0.9779 10.2005 2.0194 Nb
2.6674 0.9779 2.0194 Nb
3.7666 7.4119 2.0194 Nb
5.4560 3.7666 2.0194 Nb
6.4340 0.0000 2.0194 Nb
7.4119 9.1013 2.0194 Nb
9.1013 5.4560 2.0194 Nb
10.2005 11.8900 2.0194 Nb
11.8900 2.6674 2.0194 Nb
0.0000 6.4340 0.0000 O
0.0348 8.4201 2.0194 O
0.8803 1.8150 2.0194 O
1.0181 10.0943 0.0000 O
1.8150 11.9876 2.0194 O
1.9862 6.4687 2.0194 O
2.7014 9.1353 2.0194 O
2.7737 1.0181 0.0000 O
3.6603 7.4520 0.0000 O
3.7326 2.7014 2.0194 O
4.4478 0.0348 2.0194 O
4.6189 5.5537 2.0194 O
5.4159 3.6603 0.0000 O
5.5537 8.2490 2.0194 O
6.3992 1.9862 2.0194 O
6.4340 0.0000 0.0000 O
6.4687 10.8817 2.0194 O
7.3142 4.6189 2.0194 O
7.4520 9.2076 0.0000 O
8.2490 7.3142 2.0194 O
8.4201 12.8332 2.0194 O
9.1353 10.1666 2.0194 O
9.2076 5.4159 0.0000 O
10.0943 11.8498 0.0000 O
10.1666 3.7326 2.0194 O
10.8817 6.3992 2.0194 O
11.0529 0.8803 2.0194 O
11.8498 2.7737 0.0000 O
11.9876 11.0529 2.0194 O
12.8332 4.4478 2.0194 O
```

Principal peaks in the range 10 to 90 degrees two-theta, sorted by position:
| d_spacing | I_rel |
| --- | --- |
| 4.069 | 49 |
| 4.039 | 83 |
| 3.569 | 62 |
| 3.306 | 48 |
| 3.121 | 85 |
| 2.877 | 39 |
| 2.867 | 100 |
| 2.019 | 45 |
| 1.819 | 67 |
| 1.659 | 42 |

The following is a calculated powder diffractogram of K3Li2Nb6P3O24. It was derived from DFT lattice parameters and positions (GGA-PBE), using Cu Kα (weighted mean of Kα1 and Kα2).
No peak broadening, texture or thermal motion is included.

Structural model:
```
K3Li2Nb6P3O24
1.0
6.6784 3.8558 3.6228
-6.6784 3.8558 3.6228
0.0000 -7.7116 3.6228
K Li Nb P O
3 2 6 3 24
Cartesian
-4.5765 0.4431 3.6228 K
1.9046 -4.1849 3.6228 K
2.6720 3.7419 3.6228 K
0.0000 0.0000 2.6131 Li
0.0000 0.0000 10.5748 Li
-1.2805 -1.7419 4.6823 Nb
-0.8682 1.9799 4.6823 Nb
2.1487 -0.2380 4.6823 Nb
-0.8744 -1.9756 8.4921 Nb
-1.2737 1.7450 8.4921 Nb
2.1481 0.2306 8.4921 Nb
-1.4542 -5.2090 4.7906 P
-3.7840 3.8639 4.7906 P
5.2382 1.3451 4.7906 P
-2.9814 -5.0733 5.0595 O
-1.2227 -1.5879 2.3943 O
-3.1759 -2.2167 4.7891 O
-4.7018 -3.5750 7.1878 O
-0.8130 -3.8208 4.5016 O
-0.7638 1.8528 2.3943 O
-1.6455 0.1192 4.4419 O
-2.9024 2.6144 4.5016 O
1.9865 -0.2650 2.3943 O
0.7195 -1.4847 4.4419 O
-1.0235 -1.7688 6.5933 O
-2.9029 5.1186 5.0595 O
0.9260 1.3654 4.4419 O
-0.3318 3.8587 4.7891 O
-1.0200 1.7708 6.5933 O
3.5076 -1.6420 4.7891 O
-1.6522 -0.1165 8.7546 O
3.7154 1.2064 4.5016 O
2.0436 -0.0020 6.5933 O
0.9270 -1.3726 8.7546 O
-0.7451 5.8594 7.1878 O
5.8843 -0.0453 5.0595 O
0.7252 1.4891 8.7546 O
5.4469 -2.2844 7.1878 O
```

Principal peaks in the range 10 to 90 degrees two-theta, sorted by position:
| d_spacing | I_rel |
| --- | --- |
| 7.921 | 21 |
| 6.678 | 38 |
| 4.918 | 24 |
| 3.623 | 41 |
| 3.339 | 100 |
| 3.184 | 26 |
| 3.077 | 20 |
| 2.641 | 14 |
| 2.455 | 23 |
| 1.928 | 19 |

The following is a calculated powder diffractogram of KLiO3. It was derived from DFT lattice parameters and positions (GGA-PBE), using Cu Kα (weighted mean of Kα1 and Kα2).
No peak broadening, texture or thermal motion is included.

Structural model:
```
KLiO3
1.0
4.0488 0.0000 0.0000
0.0000 4.0488 0.0000
0.0000 0.0000 4.0488
K Li O
1 1 3
Cartesian
0.0000 0.0000 0.0000 K
2.0244 2.0244 2.0244 Li
0.0000 2.0244 2.0244 O
2.0244 0.0000 2.0244 O
2.0244 2.0244 0.0000 O
```

Principal peaks in the range 10 to 90 degrees two-theta, sorted by position:
| d_spacing | I_rel |
| --- | --- |
| 4.049 | 16 |
| 2.863 | 32 |
| 2.338 | 100 |
| 2.024 | 57 |
| 1.811 | 7 |
| 1.653 | 12 |
| 1.431 | 29 |
| 1.280 | 5 |
| 1.221 | 23 |
| 1.169 | 9 |

The following is a calculated powder diffractogram of KLiSbP2O8. It was derived from DFT lattice parameters and positions (GGA-PBE), using Cu Kα (weighted mean of Kα1 and Kα2).
No peak broadening, texture or thermal motion is included.

Structural model:
```
KLiSbP2O8
1.0
5.0400 0.0000 0.0000
0.0219 8.6057 0.0000
2.5168 4.1018 12.3102
K Li Sb P O
3 3 3 6 24
Cartesian
0.0000 0.0000 0.0000 K
2.4299 7.0976 4.2174 K
4.9457 6.0260 8.4858 K
2.4409 3.9967 9.1780 Li
5.0462 5.3677 5.2476 Li
4.8837 8.7918 3.0225 Li
2.4518 9.7587 8.1691 Sb
2.4519 4.3298 0.1208 Sb
4.9753 2.7897 4.2217 Sb
2.4649 7.2031 10.5222 P
2.4727 4.2157 6.3660 P
2.4688 1.5537 2.0928 P
4.9556 11.0561 10.2585 P
4.9346 8.5179 6.1779 P
4.9782 5.5887 2.0345 P
2.3661 5.7446 10.1319 O
1.9437 3.0708 7.3434 O
0.9515 1.7433 2.3914 O
1.5873 4.2885 5.0898 O
2.3888 5.5056 7.1729 O
3.3909 7.3603 11.7885 O
1.3506 4.9774 1.6646 O
3.0544 8.0509 9.3594 O
4.4175 10.0020 11.3303 O
3.5103 9.1323 6.4532 O
4.0362 10.9336 8.9870 O
2.7747 8.8304 1.4419 O
4.8020 3.8641 10.7725 O
3.3061 1.6183 3.4324 O
3.9425 3.9007 5.9387 O
3.0135 2.7747 1.2133 O
4.8042 7.0649 5.7724 O
4.4476 4.8432 3.2869 O
6.0645 7.7537 10.8780 O
4.0260 5.3927 0.7923 O
5.7782 8.6425 7.4902 O
6.4472 10.7515 9.8913 O
5.5632 9.2855 4.9743 O
5.1418 7.0601 2.3582 O
```

Principal peaks in the range 10 to 90 degrees two-theta, sorted by position:
| d_spacing | I_rel |
| --- | --- |
| 8.082 | 60 |
| 4.298 | 43 |
| 4.109 | 13 |
| 3.554 | 53 |
| 3.538 | 100 |
| 2.521 | 46 |
| 2.493 | 21 |
| 2.141 | 15 |
| 2.052 | 11 |
| 1.592 | 11 |

- Number 5 is which compound?
  KLiSbP2O8